[1]
Computed X-ray diffraction stick pattern
Compound: DyTlGeCl6
Radiation: λ = 1.5418 Å (Cu Kα)
Structure: a cell relaxed with GGA-PBE

Structural model:
Cell: 6.9875 6.9875 7.0177 Å, 90.00 90.00 120.00°
Element x y z (fractional)
Dy: 0.0000 0.0000 0.0000
Tl: 0.3333 0.6667 0.5000
Ge: 0.6667 0.3333 0.0000
Cl: 0.3296 0.0354 0.2146
Cl: 0.3296 0.2942 0.7854
Cl: 0.7058 0.0354 0.7854
Cl: 0.7058 0.6704 0.2146
Cl: 0.9646 0.2942 0.2146
Cl: 0.9646 0.6704 0.7854

Top 10 peaks for 10° ≤ 2θ ≤ 90°, in order of rising 2θ:
(1 0 1), 2θ = 19.4°, intensity 100
(1 1 0), 2θ = 25.5°, intensity 25
(2 0 1), 2θ = 32.2°, intensity 25
(2 -1 2), 2θ = 36.3°, intensity 53
(1 0 3), 2θ = 41.4°, intensity 13
(3 -1 1), 2θ = 41.5°, intensity 29
(3 0 0), 2θ = 44.9°, intensity 19
(2 1 3), 2θ = 56.3°, intensity 12
(3 1 1), 2θ = 56.4°, intensity 13
(2 2 2), 2θ = 59.1°, intensity 12

[2]
Computed X-ray diffraction stick pattern
Compound: DyICl
Radiation: λ = 1.5418 Å (Cu Kα)
Structure: a cell relaxed with GGA-PBE

Structural model:
Cell: 3.9545 6.7497 8.5151 Å, 68.16 89.86 90.00°
Element x y z (fractional)
Dy: 0.2500 0.2389 0.0010
Dy: 0.7500 0.7611 0.9990
I: 0.2515 0.0377 0.7329
I: 0.7485 0.9623 0.2671
Cl: 0.2490 0.4923 0.1913
Cl: 0.7510 0.5077 0.8087

Top 10 peaks for 10° ≤ 2θ ≤ 90°, in order of rising 2θ:
(0 0 1), 2θ = 11.2°, intensity 100
(0 1 0), 2θ = 14.1°, intensity 21
(1 1 0), 2θ = 26.7°, intensity 39
(0 2 2), 2θ = 29.0°, intensity 40
(1 -1 1), 2θ = 31.0°, intensity 37
(1 1 -1), 2θ = 31.1°, intensity 35
(1 1 3), 2θ = 39.1°, intensity 34
(2 0 0), 2θ = 45.9°, intensity 22
(-1 3 1), 2θ = 46.7°, intensity 19
(1 3 2), 2θ = 47.0°, intensity 13

[3]
Computed X-ray diffraction stick pattern
Compound: DyICl
Radiation: λ = 1.5418 Å (Cu Kα)
Structure: a cell relaxed with GGA-PBE

Structural model:
Cell: 3.9546 6.7443 8.3736 Å, 104.97 102.58 90.00°
Element x y z (fractional)
Dy: 0.2505 0.2400 0.0010
Dy: 0.7495 0.7600 0.9990
I: 0.1264 0.8265 0.7321
I: 0.8736 0.1735 0.2679
Cl: 0.3385 0.6437 0.1922
Cl: 0.6615 0.3563 0.8078

Top 10 peaks for 10° ≤ 2θ ≤ 90°, in order of rising 2θ:
(0 0 1), 2θ = 11.2°, intensity 100
(1 1 -1), 2θ = 26.2°, intensity 16
(0 2 0), 2θ = 27.4°, intensity 29
(1 -1 1), 2θ = 29.2°, intensity 41
(1 1 -2), 2θ = 29.6°, intensity 41
(0 2 1), 2θ = 32.4°, intensity 27
(-1 1 2), 2θ = 33.7°, intensity 13
(0 2 -3), 2θ = 37.9°, intensity 18
(1 1 2), 2θ = 41.4°, intensity 16
(1 -3 1), 2θ = 46.8°, intensity 17